Record 1
The following is a computed powder X-ray diffraction pattern of AcAgRu. It was derived from a structure optimized by DFT (PBE), using Cu Kα.
Peak positions follow from Bragg's law for the DFT cell and can differ from measured ones.

The 10 most intense peaks (15 to 90 degrees two-theta), in order of rising 2θ:
24.41°, I = 24.3, hkl 2 0 1
28.33°, I = 38.2, hkl 1 1 1
29.19°, I = 34.9, hkl 3 1 0
31.08°, I = 100.0, hkl 3 1 -1
33.41°, I = 33.0, hkl 2 0 -2
36.46°, I = 52.8, hkl 3 1 1
38.90°, I = 20.2, hkl 1 1 -2
40.91°, I = 40.0, hkl 0 2 0
58.58°, I = 19.4, hkl 1 1 3
59.88°, I = 23.1, hkl 5 1 -3

Structural model:
abc: 13.143 4.412 5.444
angles: 90.00 104.24 90.00
Space group C2/m (No. 12)
Symmetry-distinct sites (fractional):
Ac1 0.118 0.000 0.316
Ag1 0.080 0.500 0.754
Ru1 0.226 0.000 0.905

Record 2
The following is a computed powder X-ray diffraction pattern of CeIn2Ni9. It was derived from a structure optimized by DFT (PBE), using Cu Kα.
Peak positions follow from Bragg's law for the DFT cell and can differ from measured ones.

The 10 most intense peaks (15 to 90 degrees two-theta), in order of rising 2θ:
34.28°, I = 23.5, hkl 3 1 0
35.87°, I = 21.1, hkl 2 2 1
37.13°, I = 17.7, hkl 0 0 2
39.14°, I = 100.0, hkl 3 1 1
43.30°, I = 28.2, hkl 2 0 2
43.65°, I = 40.6, hkl 3 2 1
44.73°, I = 72.9, hkl 2 1 2
45.19°, I = 33.2, hkl 4 1 0
68.28°, I = 17.9, hkl 3 1 3
69.78°, I = 16.1, hkl 5 1 2

Structural model:
abc: 8.273 8.273 4.843
angles: 90.00 90.00 90.00
Space group P4/mbm (No. 127)
Symmetry-distinct sites (fractional):
Ce1 0.000 0.000 0.000
In1 0.124 0.376 0.000
Ni1 0.000 0.500 0.500
Ni2 0.064 0.205 0.500
Ni3 0.177 0.677 0.248

Record 3
The following is a computed powder X-ray diffraction pattern of Ac2HoIn12Ir3. It was derived from a structure optimized by DFT (PBE), using Cu Kα.
Peak positions follow from Bragg's law for the DFT cell and can differ from measured ones.

The 10 most intense peaks (15 to 90 degrees two-theta), in order of rising 2θ:
21.20°, I = 78.5, hkl 0 2 1
22.61°, I = 35.4, hkl 2 0 2
27.48°, I = 21.1, hkl 0 0 6
29.02°, I = 46.1, hkl 1 2 2
31.01°, I = 21.3, hkl 2 0 5
32.99°, I = 23.7, hkl 1 1 6
33.87°, I = 33.1, hkl 1 0 7
36.27°, I = 100.0, hkl 2 2 0
42.10°, I = 19.8, hkl 3 0 6
57.32°, I = 33.4, hkl 3 2 7

Structural model:
abc: 9.9084 9.9084 19.4774
angles: 90.00 90.00 120.00
Space group R-3m (No. 166, hexagonal axes)
Symmetry-distinct sites (fractional):
Ac1 0.0000 0.0000 0.0901
Ho1 0.0000 0.0000 0.5000
In1 0.0343 0.5171 0.8659
In2 0.0705 0.5353 0.3213
Ir1 0.0000 0.5000 0.0000

Record 4
The following is a computed powder X-ray diffraction pattern of Dy3PdPt. It was derived from a structure optimized by DFT (PBE), using Cu Kα.
Peak positions follow from Bragg's law for the DFT cell and can differ from measured ones.

The 10 most intense peaks (15 to 90 degrees two-theta), in order of rising 2θ:
17.35°, I = 44.8, hkl 1 0 -1
30.42°, I = 47.1, hkl 1 1 1
30.71°, I = 77.8, hkl 0 2 1
34.22°, I = 45.3, hkl 1 -2 1
34.55°, I = 96.8, hkl -2 1 1
34.65°, I = 69.4, hkl 0 2 -2
34.82°, I = 32.4, hkl 2 1 -1
38.81°, I = 34.1, hkl -1 2 2
38.97°, I = 34.4, hkl 1 2 1
41.65°, I = 100.0, hkl 0 0 3

Structural model:
abc: 5.561 7.105 7.131
angles: 97.78 112.71 90.57
Space group P-1 (No. 2)
Symmetry-distinct sites (fractional):
Dy1 0.053 0.166 0.336
Dy2 0.276 0.655 0.334
Dy3 0.396 0.253 0.996
Pd1 0.453 0.983 0.678
Pt1 0.240 0.485 0.678

Record 5
The following is a computed powder X-ray diffraction pattern of Zr6ReAg. It was derived from a structure optimized by DFT (PBE), using Cu Kα.
Peak positions follow from Bragg's law for the DFT cell and can differ from measured ones.

The 10 most intense peaks (15 to 90 degrees two-theta), in order of rising 2θ:
35.82°, I = 100.0, hkl 1 1 4
38.28°, I = 43.7, hkl 2 0 0
44.87°, I = 6.6, hkl 1 1 6
47.68°, I = 9.4, hkl 0 0 8
55.25°, I = 14.7, hkl 2 2 0
62.72°, I = 16.1, hkl 2 0 8
67.62°, I = 30.5, hkl 3 1 4
75.92°, I = 9.1, hkl 2 2 8
80.94°, I = 5.9, hkl 1 1 12
81.96°, I = 4.6, hkl 4 0 0

Structural model:
abc: 4.702 4.702 15.259
angles: 90.00 90.00 90.00
Space group I4/mmm (No. 139)
Symmetry-distinct sites (fractional):
Zr1 0.000 0.000 0.248
Zr2 0.000 0.500 0.111
Re1 0.000 0.000 0.000
Ag1 0.000 0.000 0.500